This entry pairs a crystal structure of SrP2IrRh with its computed powder diffraction line list. Radiation: copper Kα. Structure: a DFT-relaxed cell (GGA-PBE, Alexandria).

Largest 10 diffraction maxima, in order of rising 2θ, 2θ = 10–80°:
(0 0 2), 14.8 deg, rel. 727
(1 0 1), 23.7 deg, rel. 178
(0 0 4), 29.9 deg, rel. 301
(1 0 3), 31.8 deg, rel. 263
(1 1 2), 35.4 deg, rel. 1000
(1 1 4), 44.3 deg, rel. 337
(2 0 0), 45.8 deg, rel. 342
(2 0 4), 55.7 deg, rel. 214
(1 1 6), 56.7 deg, rel. 322
(3 1 2), 78.0 deg, rel. 203

Atomic structure:
Lattice parameters (Å, degrees): 3.959 3.959 11.971 90.00 90.00 90.00
Space group I-4m2 (No. 119)
Inequivalent atoms, fractional coordinates:
Sr 0.000 0.000 0.000 [2 per cell]
P 0.000 0.000 0.360 [4 per cell]
Ir 0.000 0.500 0.750 [2 per cell]
Rh 0.000 0.500 0.250 [2 per cell]